Record 1
Structure and simulated powder diffraction line list of SiO2 (a crystal structure in the Materials Project, relaxed with GGA-PBE; Cu Kα).
No peak broadening, texture or thermal motion is included.

The 10 most intense peaks (2θ from 10° to 90°), by angle:
12.21°, rel. 45; 18.89°, rel. 100; 21.24°, rel. 100; 24.57°, rel. 41; 25.73°, rel. 84; 35.87°, rel. 21; 36.18°, rel. 10; 43.25°, rel. 11; 44.23°, rel. 10; 63.58°, rel. 17

Structural model:
Unit cell a=8.5364 b=8.5364 c=8.5364 alpha=116.19 beta=116.19 gamma=116.19
Element x y z (fractional)
Si  0.3062  0.3062  0.6851
Si  0.3062  0.6851  0.3062
Si  0.3149  0.6938  0.6938
Si  0.6851  0.3062  0.3062
Si  0.6938  0.3149  0.6938
Si  0.6938  0.6938  0.3149
O  0.0000  0.0000  0.5000
O  0.0000  0.5000  0.0000
O  0.0000  0.5000  0.5000
O  0.3226  0.5000  0.6774
O  0.3226  0.6774  0.5000
O  0.5000  0.0000  0.0000
O  0.5000  0.0000  0.5000
O  0.5000  0.3226  0.6774
O  0.5000  0.5000  0.0000
O  0.5000  0.6774  0.3226
O  0.6774  0.3226  0.5000
O  0.6774  0.5000  0.3226



Record 2
Structure and simulated powder diffraction line list of YMg2 (a crystal structure in the Materials Project, relaxed with GGA-PBE; Cu Kα).
No peak broadening, texture or thermal motion is included.

The 10 most intense peaks (2θ from 10° to 90°), by angle:
11.73°, rel. 51; 14.34°, rel. 42; 20.85°, rel. 40; 29.61°, rel. 30; 31.14°, rel. 31; 32.25°, rel. 58; 34.15°, rel. 35; 34.80°, rel. 100; 35.56°, rel. 67; 35.70°, rel. 33

Structural model:
Unit cell a=6.6146 b=6.6146 c=7.8230 alpha=104.82 beta=104.82 gamma=28.95
Element x y z (fractional)
Y  0.1893  0.1893  0.1397
Y  0.8107  0.8107  0.8603
Mg  0.1345  0.1345  0.5236
Mg  0.4693  0.4693  0.2033
Mg  0.5307  0.5307  0.7967
Mg  0.8655  0.8655  0.4764